[1]
Starting from a PBE-relaxed structure, the PXRD pattern of Dy2P4O13 was simulated for copper Kα.
Peak positions follow from Bragg's law for the DFT cell and can differ from measured ones.

Peak list (10 most intense, 10 to 80 degrees two-theta, by angle)
d_spacing	I/Imax	(hkl)
6.238	45	0 0 2
5.728	58	2 0 0
4.621	40	1 1 -2
3.725	24	2 0 2
3.413	33	0 2 0
3.333	35	3 1 0
3.298	18	3 1 -2
2.935	100	1 1 -4
2.516	15	2 2 2
2.172	18	5 1 0

Structural model:
Cell: 11.9479 6.8264 13.0108 Å, 90.00 106.49 90.00°
Space group C2/c (No. 15)
Asymmetric unit:
1 Dy 0.1929 0.0044 0.0501 x8
2 P 0.0109 0.3404 0.8658 x8
3 P 0.2361 0.4873 0.6608 x8
4 O 0.0000 0.2441 0.7500 x4
5 O 0.0061 0.1702 0.9408 x8
6 O 0.0996 0.4785 0.6543 x8
7 O 0.1114 0.4794 0.8968 x8
8 O 0.1969 0.0078 0.2222 x8
9 O 0.2368 0.1849 0.4042 x8
10 O 0.2489 0.3301 0.0960 x8

[2]
Starting from a PBE-relaxed structure, the PXRD pattern of Dy2P4O13 was simulated for copper Kα.
Peak positions follow from Bragg's law for the DFT cell and can differ from measured ones.

Peak list (10 most intense, 10 to 80 degrees two-theta, by angle)
d_spacing	I/Imax	(hkl)
6.161	92	0 2 1
4.385	89	0 4 0
3.912	51	0 4 1
3.618	92	1 1 2
3.556	100	2 0 0
2.765	44	2 4 0
2.643	43	1 1 3
2.545	32	1 5 2
2.432	47	1 3 3
2.065	34	3 1 2

Structural model:
Cell: 7.1128 17.5389 8.6566 Å, 90.00 90.00 90.00°
Space group C222_1 (No. 20)
Asymmetric unit:
1 Dy 0.2498 0.1460 0.1466 x8
2 P 0.2137 0.4365 0.2736 x8
3 P 0.2411 0.1601 0.5000 x8
4 O 0.0000 0.4125 0.2500 x4
5 O 0.0787 0.1573 0.3825 x8
6 O 0.0794 0.3513 0.9017 x8
7 O 0.2045 0.0851 0.6069 x8
8 O 0.2121 0.1150 0.8979 x8
9 O 0.2366 0.4794 0.7047 x8
10 O 0.2443 0.2291 0.6039 x8

[3]
Starting from a PBE-relaxed structure, the PXRD pattern of DyP3O9 was simulated for copper Kα.
Peak positions follow from Bragg's law for the DFT cell and can differ from measured ones.

Peak list (10 most intense, 10 to 80 degrees two-theta, by angle)
d_spacing	I/Imax	(hkl)
5.742	62	1 1 0
4.900	21	0 2 0
4.845	37	0 1 2
4.061	40	1 1 -2
3.941	22	1 1 2
3.680	100	0 2 2
3.543	35	2 0 0
3.223	17	2 1 -1
3.162	20	2 1 1
2.242	15	0 4 2

Structural model:
Cell: 7.0905 9.7991 11.1558 Å, 90.00 92.12 90.00°
Space group P2_1/m (No. 11)
Asymmetric unit:
1 Dy 0.1794 0.2500 0.4619 x2
2 Dy 0.3090 0.2500 0.9797 x2
3 P 0.1811 0.7500 0.1041 x2
4 P 0.2692 0.0109 0.2310 x4
5 P 0.3094 0.7500 0.6257 x2
6 P 0.3245 0.0334 0.7159 x4
7 O 0.0123 0.7500 0.0192 x2
8 O 0.1397 0.7500 0.5410 x2
9 O 0.1550 0.0865 0.3197 x4
10 O 0.1552 0.6251 0.1967 x4
11 O 0.2296 0.0923 0.6053 x4
12 O 0.2770 0.0896 0.8358 x4
13 O 0.2915 0.6280 0.7221 x4
14 O 0.3263 0.0853 0.1202 x4
15 O 0.3759 0.7500 0.0559 x2
16 O 0.4522 0.5493 0.3031 x4
17 O 0.4977 0.2500 0.4252 x2

[4]
Starting from a PBE-relaxed structure, the PXRD pattern of DyPaPd2O8 was simulated for copper Kα.
Peak positions follow from Bragg's law for the DFT cell and can differ from measured ones.

Peak list (10 most intense, 10 to 80 degrees two-theta, by angle)
d_spacing	I/Imax	(hkl)
4.957	21	1 0 1
3.539	100	2 0 0
2.853	86	1 1 2
2.502	27	2 2 0
1.881	69	3 1 2
1.769	15	4 0 0
1.583	15	4 2 0
1.559	18	2 0 4
1.504	20	3 3 2
1.289	15	5 1 2

Structural model:
Cell: 7.0780 7.0780 6.9446 Å, 90.00 90.00 90.00°
Space group I-4m2 (No. 119)
Asymmetric unit:
1 Dy 0.0000 0.0000 0.0000 x2
2 Pa 0.0000 0.5000 0.7500 x2
3 Pd 0.0000 0.0000 0.5000 x2
4 Pd 0.0000 0.5000 0.2500 x2
5 O 0.0000 0.1820 0.7122 x8
6 O 0.0000 0.3263 0.0326 x8

[5]
Starting from a PBE-relaxed structure, the PXRD pattern of PmDyPaO6 was simulated for copper Kα.
Peak positions follow from Bragg's law for the DFT cell and can differ from measured ones.

Peak list (10 most intense, 10 to 80 degrees two-theta, by angle)
d_spacing	I/Imax	(hkl)
3.448	100	1 0 1
2.937	53	1 1 0
2.236	31	2 0 1
1.832	40	2 -1 2
1.779	32	2 1 1
1.696	18	3 0 0
1.374	10	3 0 2
1.351	13	4 -1 1
1.245	11	2 2 2
1.213	9	3 -1 3

Structural model:
Cell: 5.8747 5.8747 4.6893 Å, 90.00 90.00 120.00°
Space group P312 (No. 149)
Asymmetric unit:
1 Pm 0.0000 0.0000 0.0000 x1
2 Dy 0.3333 0.6667 0.0000 x1
3 Pa 0.6667 0.3333 0.5000 x1
4 O 0.3565 0.0139 0.2467 x6

[6]
Starting from a PBE-relaxed structure, the PXRD pattern of PrDyPaO6 was simulated for copper Kα.
Peak positions follow from Bragg's law for the DFT cell and can differ from measured ones.

Peak list (10 most intense, 10 to 80 degrees two-theta, by angle)
d_spacing	I/Imax	(hkl)
3.462	100	1 0 1
2.962	54	1 1 0
2.251	32	2 0 1
1.839	39	1 1 2
1.792	32	3 -1 1
1.710	18	3 0 0
1.496	10	1 0 3
1.382	10	3 0 2
1.362	13	3 1 1
1.252	11	4 -2 2

Structural model:
Cell: 5.9246 5.9246 4.6908 Å, 90.00 90.00 120.00°
Space group P312 (No. 149)
Asymmetric unit:
1 Pr 0.0000 0.0000 0.0000 x1
2 Dy 0.6667 0.3333 0.0000 x1
3 Pa 0.3333 0.6667 0.5000 x1
4 O 0.0135 0.3609 0.7524 x6

[7]
Starting from a PBE-relaxed structure, the PXRD pattern of DyPaPtO6 was simulated for copper Kα.
Peak positions follow from Bragg's law for the DFT cell and can differ from measured ones.

Peak list (10 most intense, 10 to 80 degrees two-theta, by angle)
d_spacing	I/Imax	(hkl)
3.381	100	1 0 2
2.703	48	1 1 0
2.444	10	0 0 4
2.111	28	2 0 2
1.813	42	1 1 4
1.664	27	2 1 2
1.561	14	3 0 0
1.539	10	1 0 6
1.315	10	3 0 4
1.255	11	3 1 2

Structural model:
Cell: 5.4067 5.4067 9.7764 Å, 90.00 90.00 120.00°
Space group P-31c (No. 163)
Asymmetric unit:
1 Dy 0.3333 0.6667 0.2500 x2
2 Pa 0.0000 0.0000 0.0000 x2
3 Pt 0.3333 0.6667 0.7500 x2
4 O 0.0328 0.3481 0.6291 x12

[8]
Starting from a PBE-relaxed structure, the PXRD pattern of DyPaSn2O8 was simulated for copper Kα.
Peak positions follow from Bragg's law for the DFT cell and can differ from measured ones.

Peak list (10 most intense, 10 to 80 degrees two-theta, by angle)
d_spacing	I/Imax	(hkl)
5.009	15	1 0 1
3.595	100	2 0 0
2.878	92	1 1 2
2.542	27	2 2 0
1.905	72	3 1 2
1.798	17	4 0 0
1.608	17	4 2 0
1.570	18	2 0 4
1.525	21	3 3 2
1.308	17	5 1 2

Structural model:
Cell: 7.1904 7.1904 6.9824 Å, 90.00 90.00 90.00°
Space group I-4m2 (No. 119)
Asymmetric unit:
1 Dy 0.0000 0.0000 0.0000 x2
2 Pa 0.0000 0.5000 0.2500 x2
3 Sn 0.0000 0.0000 0.5000 x2
4 Sn 0.0000 0.5000 0.7500 x2
5 O 0.0000 0.1936 0.3013 x8
6 O 0.0000 0.3148 0.9577 x8